Calculated X-ray diffraction stick pattern
Compound: ZnAg2P2O6
Radiation: Cu Kα (λ = 1.5418 Å)
Structure: the PBE geometry in Alexandria

Largest 10 diffraction maxima, low angle first, 2θ from 10° to 90°:
2theta, I (rel.)
12.0, 100
31.2, 87
34.2, 59
36.4, 70
41.7, 45
47.0, 21
55.0, 18
59.4, 22
61.3, 21
66.5, 24

Atomic structure:
Cell lengths 5.2379, 5.2379, 7.3935 Å; angles 90.00, 90.00, 120.00 degrees
Element x y z (fractional)
Zn1 0.0000 0.0000 0.0000
Ag1 0.3333 0.6667 0.8996
Ag2 0.6667 0.3333 0.1004
P1 0.3333 0.6667 0.2994
P2 0.6667 0.3333 0.7006
O1 0.0490 0.3783 0.2938
O2 0.3292 0.9510 0.2938
O3 0.3783 0.3292 0.7062
O4 0.6217 0.6708 0.2938
O5 0.6708 0.0490 0.7062
O6 0.9510 0.6217 0.7062

=====

Calculated X-ray diffraction stick pattern
Compound: ZnAg2P2O7
Radiation: Cu Kα (λ = 1.5418 Å)
Structure: the PBE geometry in Alexandria

Largest 10 diffraction maxima, low angle first, 2θ from 10° to 90°:
2theta, I (rel.)
23.1, 25
27.7, 10
28.2, 48
30.4, 100
32.0, 11
33.8, 13
35.9, 24
36.9, 20
42.6, 23
50.2, 22

Atomic structure:
Cell lengths 7.9043, 7.9043, 10.5995 Å; angles 90.00, 90.00, 90.00 degrees
Element x y z (fractional)
Zn1 0.0000 0.5000 0.2500
Zn2 0.0000 0.5000 0.7500
Zn3 0.5000 0.0000 0.2500
Zn4 0.5000 0.0000 0.7500
Ag1 0.1390 0.1390 0.0000
Ag2 0.2005 0.2005 0.5000
Ag3 0.2995 0.7005 0.0000
Ag4 0.3610 0.6390 0.5000
Ag5 0.6390 0.3610 0.5000
Ag6 0.7005 0.2995 0.0000
Ag7 0.7995 0.7995 0.5000
Ag8 0.8610 0.8610 0.0000
P1 0.1374 0.8626 0.2886
P2 0.1374 0.8626 0.7114
P3 0.3626 0.3626 0.2114
P4 0.3626 0.3626 0.7886
P5 0.6374 0.6374 0.2114
P6 0.6374 0.6374 0.7886
P7 0.8626 0.1374 0.2886
P8 0.8626 0.1374 0.7114
O1 0.0000 0.0000 0.3423
O2 0.0000 0.0000 0.6577
O3 0.0797 0.6951 0.3499
O4 0.0797 0.6951 0.6501
O5 0.1350 0.8650 0.1450
O6 0.1350 0.8650 0.8550
O7 0.1951 0.4203 0.1501
O8 0.1951 0.4203 0.8499
O9 0.3049 0.9203 0.3499
O10 0.3049 0.9203 0.6501
O11 0.3650 0.3650 0.3550
O12 0.3650 0.3650 0.6450
O13 0.4203 0.1951 0.1501
O14 0.4203 0.1951 0.8499
O15 0.5000 0.5000 0.1577
O16 0.5000 0.5000 0.8423
O17 0.5797 0.8049 0.1501
O18 0.5797 0.8049 0.8499
O19 0.6350 0.6350 0.3550
O20 0.6350 0.6350 0.6450
O21 0.6951 0.0797 0.3499
O22 0.6951 0.0797 0.6501
O23 0.8049 0.5797 0.1501
O24 0.8049 0.5797 0.8499
O25 0.8650 0.1350 0.1450
O26 0.8650 0.1350 0.8550
O27 0.9203 0.3049 0.3499
O28 0.9203 0.3049 0.6501

=====

Calculated X-ray diffraction stick pattern
Compound: PaAg5O5
Radiation: Cu Kα (λ = 1.5418 Å)
Structure: the PBE geometry in Alexandria

Largest 10 diffraction maxima, low angle first, 2θ from 10° to 90°:
2theta, I (rel.)
17.0, 34
23.3, 40
31.4, 42
31.7, 81
32.7, 100
33.4, 37
39.6, 42
40.5, 48
57.9, 26
68.1, 21

Atomic structure:
Cell lengths 6.4286, 6.4286, 7.4783 Å; angles 118.29, 118.29, 40.54 degrees
Element x y z (fractional)
Pa1 0.0000 0.0000 0.0000
Ag1 0.0000 0.0000 0.5000
Ag2 0.3514 0.3514 0.1954
Ag3 0.3663 0.3663 0.5924
Ag4 0.6337 0.6337 0.4076
Ag5 0.6486 0.6486 0.8046
O1 0.1178 0.1178 0.8313
O2 0.1714 0.1714 0.2849
O3 0.5000 0.5000 0.0000
O4 0.8286 0.8286 0.7151
O5 0.8822 0.8822 0.1687

=====

Calculated X-ray diffraction stick pattern
Compound: PaAg3O4
Radiation: Cu Kα (λ = 1.5418 Å)
Structure: the PBE geometry in Alexandria

Largest 10 diffraction maxima, low angle first, 2θ from 10° to 90°:
2theta, I (rel.)
16.0, 37
29.9, 100
32.4, 74
32.5, 51
37.9, 77
50.8, 60
56.4, 18
57.9, 17
62.2, 38
66.3, 19

Atomic structure:
Cell lengths 6.3696, 6.3696, 3.5495 Å; angles 90.00, 90.00, 119.75 degrees
Element x y z (fractional)
Pa1 0.0000 0.0000 0.0000
Ag1 0.0000 0.5000 0.5000
Ag2 0.5000 0.0000 0.5000
Ag3 0.5000 0.5000 0.0000
O1 0.1892 0.8108 0.0000
O2 0.2240 0.2240 0.5000
O3 0.7760 0.7760 0.5000
O4 0.8108 0.1892 0.0000

=====

Calculated X-ray diffraction stick pattern
Compound: Pa2Ag3O7
Radiation: Cu Kα (λ = 1.5418 Å)
Structure: the PBE geometry in Alexandria

Largest 10 diffraction maxima, low angle first, 2θ from 10° to 90°:
2theta, I (rel.)
21.4, 63
24.4, 32
24.7, 39
29.5, 100
29.9, 39
31.1, 41
43.6, 32
46.1, 35
51.4, 52
61.3, 28

Atomic structure:
Cell lengths 11.2087, 11.2087, 6.2269 Å; angles 90.00, 90.00, 29.77 degrees
Element x y z (fractional)
Pa1 0.1466 0.6610 0.5000
Pa2 0.3390 0.8534 0.5000
Pa3 0.6610 0.1466 0.0000
Pa4 0.8534 0.3390 0.0000
Ag1 0.9998 0.5001 0.2507
Ag2 0.0002 0.4999 0.7507
Ag3 0.2857 0.7143 0.0002
Ag4 0.4999 0.0002 0.2507
Ag5 0.5001 0.9998 0.7507
Ag6 0.7143 0.2857 0.5002
O1 0.1178 0.1195 0.7493
O2 0.1195 0.1178 0.2493
O3 0.1197 0.8803 0.4997
O4 0.1731 0.4383 0.5006
O5 0.4279 0.4291 0.7505
O6 0.4291 0.4279 0.2505
O7 0.4383 0.1731 0.0006
O8 0.5617 0.8269 0.5006
O9 0.5709 0.5721 0.7505
O10 0.5721 0.5709 0.2505
O11 0.8269 0.5617 0.0006
O12 0.8803 0.1197 0.9997
O13 0.8805 0.8822 0.7493
O14 0.8822 0.8805 0.2493

=====

Calculated X-ray diffraction stick pattern
Compound: PaAgPb2O5
Radiation: Cu Kα (λ = 1.5418 Å)
Structure: the PBE geometry in Alexandria

Largest 10 diffraction maxima, low angle first, 2θ from 10° to 90°:
2theta, I (rel.)
28.9, 100
29.1, 60
41.1, 14
41.6, 27
51.2, 25
51.5, 43
59.9, 18
68.3, 20
82.9, 13
83.2, 12

Atomic structure:
Cell lengths 4.3426, 4.3426, 8.7789 Å; angles 90.00, 90.00, 90.00 degrees
Element x y z (fractional)
Pa1 0.0000 0.0000 0.0000
Ag1 0.0000 0.0000 0.5000
Pb1 0.5000 0.5000 0.2569
Pb2 0.5000 0.5000 0.7431
O1 0.0000 0.0000 0.2481
O2 0.0000 0.0000 0.7519
O3 0.0000 0.5000 0.0000
O4 0.5000 0.0000 0.0000
O5 0.5000 0.5000 0.5000

=====

Calculated X-ray diffraction stick pattern
Compound: PaAgPb2O6
Radiation: Cu Kα (λ = 1.5418 Å)
Structure: the PBE geometry in Alexandria

Largest 10 diffraction maxima, low angle first, 2θ from 10° to 90°:
2theta, I (rel.)
10.8, 43
27.0, 100
28.5, 27
32.0, 35
33.8, 15
44.2, 23
45.9, 22
51.1, 14
54.0, 29
71.0, 11

Atomic structure:
Cell lengths 8.2187, 8.2187, 5.5908 Å; angles 90.00, 90.00, 94.12 degrees
Element x y z (fractional)
Pa1 0.1004 0.8996 0.7500
Pa2 0.8996 0.1004 0.2500
Ag1 0.2465 0.7535 0.2500
Ag2 0.7535 0.2465 0.7500
Pb1 0.1284 0.3943 0.7500
Pb2 0.3943 0.1284 0.2500
Pb3 0.6057 0.8716 0.7500
Pb4 0.8716 0.6057 0.2500
O1 0.1041 0.6485 0.5079
O2 0.1041 0.6485 0.9921
O3 0.1115 0.1115 0.0000
O4 0.1115 0.1115 0.5000
O5 0.3515 0.8959 0.5079
O6 0.3515 0.8959 0.9921
O7 0.6485 0.1041 0.0079
O8 0.6485 0.1041 0.4921
O9 0.8885 0.8885 0.0000
O10 0.8885 0.8885 0.5000
O11 0.8959 0.3515 0.0079
O12 0.8959 0.3515 0.4921

=====

Calculated X-ray diffraction stick pattern
Compound: PuPaAg2O6
Radiation: Cu Kα (λ = 1.5418 Å)
Structure: the PBE geometry in Alexandria

Largest 10 diffraction maxima, low angle first, 2θ from 10° to 90°:
2theta, I (rel.)
20.4, 26
20.8, 31
29.0, 66
29.3, 100
36.0, 16
41.5, 36
46.9, 15
47.5, 31
51.6, 43
64.9, 24

Atomic structure:
Cell lengths 6.1558, 6.1558, 4.2642 Å; angles 90.00, 90.00, 90.00 degrees
Element x y z (fractional)
Pu1 0.0000 0.0000 0.0000
Pa1 0.5000 0.5000 0.9878
Ag1 0.0000 0.5000 0.3321
Ag2 0.5000 0.0000 0.3321
O1 0.0000 0.0000 0.5010
O2 0.2478 0.2478 0.0165
O3 0.2478 0.7522 0.0165
O4 0.5000 0.5000 0.4917
O5 0.7522 0.2478 0.0165
O6 0.7522 0.7522 0.0165